No. 1
Starting from a PBE-relaxed structure, the X-ray diffraction stick pattern of NaYPd6O8 was calculated for CuKα.
Lines closer than 0.1° are merged.

Peak list (8 most intense, 2θ = 10–90°, in order of falling intensity)
2θ/deg  Rel. int.
34.37  100
37.77  44
56.91  23
59.27  23
74.54  20
54.49  19
63.82  16
21.54  9

Cell and atoms:
```
NaYPd6O8
1.0
5.8338 0.0000 0.0000
0.0000 5.8338 0.0000
0.0000 0.0000 5.8338
Na Y Pd O
1 1 6 8
direct
0.0000 0.0000 0.0000 Na
0.5000 0.5000 0.5000 Y
0.0000 0.2494 0.5000 Pd
0.0000 0.7506 0.5000 Pd
0.2494 0.5000 0.0000 Pd
0.5000 0.0000 0.2494 Pd
0.5000 0.0000 0.7506 Pd
0.7506 0.5000 0.0000 Pd
0.2594 0.2594 0.2594 O
0.2594 0.2594 0.7406 O
0.2594 0.7406 0.2594 O
0.2594 0.7406 0.7406 O
0.7406 0.2594 0.2594 O
0.7406 0.2594 0.7406 O
0.7406 0.7406 0.2594 O
0.7406 0.7406 0.7406 O
```

No. 2
Starting from a PBE-relaxed structure, the X-ray diffraction stick pattern of Na4ZnPd3O8 was calculated for CuKα.
Lines closer than 0.1° are merged.

Peak list (8 most intense, 2θ = 10–90°, in order of falling intensity)
2θ/deg  Rel. int.
16.93  100
34.22  63
41.33  62
35.63  43
56.21  26
33.66  24
55.19  23
33.52  21

Cell and atoms:
```
Na4ZnPd3O8
1.0
5.8597 -3.0708 0.0000
5.8597 3.0708 0.0000
-3.1722 0.0000 5.3473
Na Zn Pd O
4 1 3 8
direct
0.0000 0.0000 0.0000 Na
0.0000 0.5000 0.5000 Na
0.5000 0.0000 0.5000 Na
0.5000 0.5000 0.0000 Na
0.0000 0.0000 0.5000 Zn
0.0000 0.5000 0.0000 Pd
0.5000 0.0000 0.0000 Pd
0.5000 0.5000 0.5000 Pd
0.2105 0.6997 0.2474 O
0.2212 0.2212 0.1863 O
0.2556 0.2556 0.7846 O
0.3003 0.7895 0.7526 O
0.6997 0.2105 0.2474 O
0.7444 0.7444 0.2154 O
0.7788 0.7788 0.8137 O
0.7895 0.3003 0.7526 O
```

No. 3
Starting from a PBE-relaxed structure, the X-ray diffraction stick pattern of Na3PmO3 was calculated for CuKα.
Lines closer than 0.1° are merged.

Peak list (8 most intense, 2θ = 10–90°, in order of falling intensity)
2θ/deg  Rel. int.
15.38  100
36.03  53
29.84  50
17.93  38
52.11  34
31.04  30
31.27  27
36.32  21

Cell and atoms:
```
Na3PmO3
1.0
-3.5066 3.5434 4.9474
3.5066 -3.5434 4.9474
3.5066 3.5434 -4.9474
Na Pm O
6 2 6
direct
0.0000 0.2118 0.2118 Na
0.0000 0.7882 0.7882 Na
0.4741 0.2241 0.2500 Na
0.5000 0.2118 0.7118 Na
0.5000 0.7882 0.2882 Na
0.5259 0.7759 0.7500 Na
0.0237 0.7737 0.2500 Pm
0.9763 0.2263 0.7500 Pm
0.2240 0.0000 0.7240 O
0.2240 0.5000 0.2240 O
0.2414 0.9914 0.2500 O
0.7586 0.0086 0.7500 O
0.7760 0.0000 0.2760 O
0.7760 0.5000 0.7760 O
```

No. 4
Starting from a PBE-relaxed structure, the X-ray diffraction stick pattern of NaPm2PtO5 was calculated for CuKα.
Lines closer than 0.1° are merged.

Peak list (8 most intense, 2θ = 10–90°, in order of falling intensity)
2θ/deg  Rel. int.
30.54  100
18.54  49
33.34  35
45.12  35
43.02  27
37.60  17
49.21  16
54.31  15

Cell and atoms:
```
NaPm2PtO5
1.0
6.7665 0.0000 0.0000
0.0000 6.7665 0.0000
0.0000 0.0000 5.8476
Na Pm Pt O
2 4 2 10
direct
0.0000 0.0000 0.0000 Na
0.5000 0.5000 0.0000 Na
0.1767 0.3233 0.5000 Pm
0.3233 0.8233 0.5000 Pm
0.6767 0.1767 0.5000 Pm
0.8233 0.6767 0.5000 Pm
0.0000 0.5000 0.0000 Pt
0.5000 0.0000 0.0000 Pt
0.0000 0.0000 0.5000 O
0.1358 0.6358 0.2550 O
0.1358 0.6358 0.7450 O
0.3642 0.1358 0.2550 O
0.3642 0.1358 0.7450 O
0.5000 0.5000 0.5000 O
0.6358 0.8642 0.2550 O
0.6358 0.8642 0.7450 O
0.8642 0.3642 0.2550 O
0.8642 0.3642 0.7450 O
```

No. 5
Starting from a PBE-relaxed structure, the X-ray diffraction stick pattern of Na2Pm2PtO6 was calculated for CuKα.
Lines closer than 0.1° are merged.

Peak list (8 most intense, 2θ = 10–90°, in order of falling intensity)
2θ/deg  Rel. int.
15.42  100
35.74  42
31.14  34
30.24  31
32.42  27
53.95  24
39.03  18
31.53  16

Cell and atoms:
```
Na2Pm2PtO6
1.0
2.9478 -5.1712 0.0000
2.9478 5.1712 0.0000
-1.3288 0.0000 5.7453
Na Pm Pt O
2 2 1 6
direct
0.1348 0.8652 0.0000 Na
0.8652 0.1348 0.0000 Na
0.3381 0.6619 0.5000 Pm
0.6619 0.3381 0.5000 Pm
0.0000 0.0000 0.5000 Pt
0.0322 0.3408 0.6909 O
0.2452 0.2452 0.2938 O
0.3408 0.0322 0.6909 O
0.6592 0.9678 0.3091 O
0.7548 0.7548 0.7062 O
0.9678 0.6592 0.3091 O
```

No. 6
Starting from a PBE-relaxed structure, the X-ray diffraction stick pattern of Na3Pm2RhO6 was calculated for CuKα.
Lines closer than 0.1° are merged.

Peak list (8 most intense, 2θ = 10–90°, in order of falling intensity)
2θ/deg  Rel. int.
15.70  100
37.26  61
32.50  39
31.03  32
37.71  30
54.42  28
31.70  22
32.30  20

Cell and atoms:
```
Na3Pm2RhO6
1.0
2.9181 -5.0619 0.0000
2.9181 5.0619 0.0000
-1.8589 0.0000 5.6459
Na Pm Rh O
3 2 1 6
direct
0.0000 0.0000 0.0000 Na
0.3505 0.6495 0.0000 Na
0.6495 0.3505 0.0000 Na
0.1678 0.8322 0.5000 Pm
0.8322 0.1678 0.5000 Pm
0.5000 0.5000 0.5000 Rh
0.1214 0.4289 0.2814 O
0.2579 0.2579 0.7132 O
0.4289 0.1214 0.2814 O
0.5711 0.8786 0.7186 O
0.7421 0.7421 0.2868 O
0.8786 0.5711 0.7186 O
```

No. 7
Starting from a PBE-relaxed structure, the X-ray diffraction stick pattern of Na2PmRh3O8 was calculated for CuKα.
Lines closer than 0.1° are merged.

Peak list (8 most intense, 2θ = 10–90°, in order of falling intensity)
2θ/deg  Rel. int.
32.96  100
32.82  78
16.75  71
27.69  62
19.60  48
32.54  43
57.92  43
57.18  38

Cell and atoms:
```
Na2PmRh3O8
1.0
3.1846 1.8386 5.2923
-3.1846 1.8386 5.2923
0.0000 -3.6772 5.2923
Na Pm Rh O
2 1 3 8
direct
0.0000 0.0000 0.0000 Na
0.3742 0.3742 0.3742 Na
0.6142 0.6142 0.6142 Pm
0.4905 0.9992 0.9992 Rh
0.9992 0.4905 0.9992 Rh
0.9992 0.9992 0.4905 Rh
0.1942 0.7499 0.7499 O
0.2287 0.2287 0.2287 O
0.2539 0.2539 0.8014 O
0.2539 0.8014 0.2539 O
0.7499 0.1942 0.7499 O
0.7499 0.7499 0.1942 O
0.7634 0.7634 0.7634 O
0.8014 0.2539 0.2539 O
```

No. 8
Starting from a PBE-relaxed structure, the X-ray diffraction stick pattern of Na2Pm2SnO6 was calculated for CuKα.
Lines closer than 0.1° are merged.

Peak list (8 most intense, 2θ = 10–90°, in order of falling intensity)
2θ/deg  Rel. int.
15.48  100
35.79  47
30.77  33
30.02  31
32.00  28
38.04  21
31.25  17
46.85  15

Cell and atoms:
```
Na2Pm2SnO6
1.0
3.0041 -5.2010 0.0000
3.0041 5.2010 0.0000
-1.5277 0.0000 5.7251
Na Pm Sn O
2 2 1 6
direct
0.1456 0.8544 0.0000 Na
0.8544 0.1456 0.0000 Na
0.3357 0.6643 0.5000 Pm
0.6643 0.3357 0.5000 Pm
0.0000 0.0000 0.5000 Sn
0.0404 0.3554 0.6949 O
0.2385 0.2385 0.2987 O
0.3554 0.0404 0.6949 O
0.6446 0.9596 0.3051 O
0.7615 0.7615 0.7013 O
0.9596 0.6446 0.3051 O
```

No. 9
Starting from a PBE-relaxed structure, the X-ray diffraction stick pattern of Na2PmTmO4 was calculated for CuKα.
Lines closer than 0.1° are merged.

Peak list (8 most intense, 2θ = 10–90°, in order of falling intensity)
2θ/deg  Rel. int.
15.84  100
36.84  86
31.68  62
30.28  54
52.88  29
53.28  27
55.56  23
40.32  21

Cell and atoms:
```
Na2PmTmO4
1.0
5.9436 0.0000 0.0000
0.0000 3.4605 0.0000
-2.0216 0.0000 5.6509
Na Pm Tm O
2 1 1 4
direct
0.0000 0.0000 0.0000 Na
0.0000 0.5000 0.5000 Na
0.5000 0.0000 0.5000 Pm
0.5000 0.5000 0.0000 Tm
0.2868 0.5000 0.2505 O
0.2898 0.0000 0.7731 O
0.7102 0.0000 0.2269 O
0.7132 0.5000 0.7495 O
```

No. 10
Starting from a PBE-relaxed structure, the X-ray diffraction stick pattern of NaPmUO4 was calculated for CuKα.
Lines closer than 0.1° are merged.

Peak list (8 most intense, 2θ = 10–90°, in order of falling intensity)
2θ/deg  Rel. int.
15.30  100
36.00  62
29.81  47
15.46  37
30.87  36
31.22  35
51.85  35
29.71  34

Cell and atoms:
```
NaPmUO4
1.0
-3.5028 3.5598 4.9813
3.5028 -3.5598 4.9813
3.5028 3.5598 -4.9813
Na Pm U O
2 2 2 8
direct
0.3653 0.1153 0.2500 Na
0.6347 0.8847 0.7500 Na
0.0000 0.5000 0.5000 Pm
0.5000 0.5000 0.0000 Pm
0.0000 0.0000 0.5000 U
0.0000 0.5000 0.0000 U
0.1945 0.7379 0.4566 O
0.2186 0.2621 0.9566 O
0.2209 0.2490 0.5281 O
0.2209 0.6929 0.9719 O
0.7791 0.3071 0.0281 O
0.7791 0.7510 0.4719 O
0.7814 0.7379 0.0434 O
0.8055 0.2621 0.5434 O
```